# PmBiH6Rh2
Computed powder diffractogram, Cu Kα. Input: a PBE-relaxed structure.

Principal peaks in the range 2θ from 10° to 90°, most intense first:
2θ = 30.57°, I 100.0
2θ = 36.41°, I 93.3
2θ = 31.40°, I 60.5
2θ = 49.43°, I 51.2
2θ = 37.13°, I 42.0
2θ = 62.89°, I 28.2
2θ = 19.12°, I 24.5
2θ = 33.91°, I 20.3
2θ = 62.02°, I 19.2
2θ = 24.12°, I 18.0

Crystal structure
a b c (Å): 6.2797 6.2797 5.9007
angles (deg): 99.52 99.52 100.94
Fractional positions:
Pm 0.1517 0.8483 0.7500
Pm 0.8483 0.1517 0.2500
Bi 0.3699 0.6301 0.2500
Bi 0.6301 0.3699 0.7500
H 0.0305 0.5559 0.3937
H 0.1702 0.1769 0.0478
H 0.1769 0.1702 0.5478
H 0.2864 0.5233 0.8334
H 0.4441 0.9695 0.1063
H 0.4767 0.7136 0.6666
H 0.5233 0.2864 0.3334
H 0.5559 0.0305 0.8937
H 0.7136 0.4767 0.1666
H 0.8231 0.8298 0.4522
H 0.8298 0.8231 0.9522
H 0.9695 0.4441 0.6063
Rh 0.0710 0.3165 0.8092
Rh 0.3165 0.0710 0.3092
Rh 0.6835 0.9290 0.6908
Rh 0.9290 0.6835 0.1908